Entry 1:
Structure and calculated XRD peak list of BeC2 (DFT lattice parameters and positions (PBE); a wavelength of 1.5418 Å).
Intensities are scaled so that the largest is 100.

Main lines, by intensity (15 to 90 degrees two-theta):
two_theta, I (rel.)
34.69, 100
31.76, 50
37.87, 49
41.84, 35
52.28, 30
72.79, 15
61.73, 14
89.53, 12
83.49, 9
64.58, 8

Cell and atoms:
```
6
Lattice="3.3602 0.0000 0.0000 0.0000 3.3602 0.0000 0.0000 0.0000 5.1724" Properties=species:S:1:pos:R:3 pbc="T T T"
Be 0.0000 0.0000 0.0000
Be 1.6801 1.6801 2.5862
C 0.4441 0.4441 2.5862
C 1.2360 2.1242 0.0000
C 2.1242 1.2360 0.0000
C 2.9161 2.9161 2.5862
```

=====

Entry 2:
Structure and calculated XRD peak list of Mg3H2S2O10 (DFT lattice parameters and positions (PBE); a wavelength of 1.5418 Å).
Intensities are scaled so that the largest is 100.

Main lines, by intensity (15 to 90 degrees two-theta):
two_theta, I (rel.)
27.31, 100
26.86, 49
26.12, 39
26.98, 23
53.75, 17
42.44, 15
34.75, 14
42.85, 14
56.39, 13
17.34, 13

Cell and atoms:
```
17
Lattice="6.9602 -2.7833 0.0000 6.9602 2.7833 0.0000 -1.8938 0.0000 4.8030" Properties=species:S:1:pos:R:3 pbc="T T T"
Mg 0.0000 0.0000 0.0000
Mg 2.5332 1.3917 2.4015
Mg 2.5332 -1.3917 2.4015
H 0.4561 0.0000 2.4945
H 11.5705 0.0000 2.3084
S 5.0222 0.0000 0.5756
S 7.0044 0.0000 4.2274
O 1.1305 0.0000 1.7891
O 5.7644 1.2354 0.8595
O 2.7180 0.0000 3.9278
O 3.7660 0.0000 1.3950
O 6.2622 1.2354 3.9434
O 5.7644 -1.2354 0.8595
O 8.2606 0.0000 3.4079
O 9.3086 0.0000 0.8752
O 6.2622 -1.2354 3.9434
O 10.8961 0.0000 3.0138
```